Record 1
Theoretical PXRD pattern of KSmHfZrO6 for Cu Kα X-rays, from a crystal structure in the Materials Project, relaxed with PBE.
Neutral-atom scattering factors, no anomalous dispersion.

Main lines, by angle (2θ = 15–90°):
2theta, Rel. int.
18.55, 22
21.45, 9
30.52, 100
35.95, 13
43.70, 31
47.86, 6
54.24, 40
57.83, 5
63.52, 19
72.11, 17
80.29, 6
88.27, 21

Crystal structure
```
KSmHfZrO6
1.0
0.0000 4.1423 4.1423
4.1423 0.0000 4.1423
4.1423 4.1423 0.0000
K Sm Hf Zr O
1 1 1 1 6
Direct
0.0000 0.0000 0.0000 K
0.5000 0.5000 0.5000 Sm
0.2500 0.2500 0.2500 Hf
0.7500 0.7500 0.7500 Zr
0.0019 0.0019 0.4981 O
0.0019 0.4981 0.0019 O
0.0019 0.4981 0.4981 O
0.4981 0.0019 0.0019 O
0.4981 0.0019 0.4981 O
0.4981 0.4981 0.0019 O
```

=====

Record 2
Theoretical PXRD pattern of La3Hf for Cu Kα X-rays, from a crystal structure in the Materials Project, relaxed with PBE.
Neutral-atom scattering factors, no anomalous dispersion.

Main lines, by angle (2θ = 15–90°):
2theta, Rel. int.
17.58, 1
24.96, 1
30.69, 100
35.59, 51
39.96, 1
43.96, 1
51.21, 36
60.90, 43
63.92, 12
75.36, 6
83.53, 18
86.21, 16

Crystal structure
```
La3Hf
1.0
5.0451 0.0000 0.0000
0.0000 5.0451 0.0000
0.0000 0.0000 5.0451
La Hf
3 1
Direct
0.0000 0.0000 0.5000 La
0.0000 0.5000 0.0000 La
0.5000 0.0000 0.0000 La
0.5000 0.5000 0.5000 Hf
```

=====

Record 3
Theoretical PXRD pattern of La3Hf for Cu Kα X-rays, from a crystal structure in the Materials Project, relaxed with PBE.
Neutral-atom scattering factors, no anomalous dispersion.

Main lines, by angle (2θ = 15–90°):
2theta, Rel. int.
28.70, 23
30.58, 27
32.61, 100
42.43, 16
50.85, 19
55.65, 22
60.50, 22
61.72, 15
78.71, 8
83.96, 13
85.69, 8
89.53, 6

Crystal structure
```
La3Hf
1.0
7.1829 0.0000 0.0000
-3.5915 6.2206 0.0000
0.0000 0.0000 5.8477
La Hf
6 2
Direct
0.1739 0.3478 0.2500 La
0.1739 0.8261 0.2500 La
0.3478 0.1739 0.7500 La
0.6522 0.8261 0.2500 La
0.8261 0.1739 0.7500 La
0.8261 0.6522 0.7500 La
0.3333 0.6667 0.7500 Hf
0.6667 0.3333 0.2500 Hf
```